(1)
Simulated XRD peak list of Rb2Zn5Sb4 for Cu Kα (weighted mean of Kα1 and Kα2), from a structure optimized by DFT (GGA-PBE).
Kinematic intensities with the Lorentz-polarization factor, no thermal factor.

Most intense lines, 5 to 70 degrees two-theta, by angle:
index  2θ (°)  d/Å  I_rel
0 0 2  14.02  6.316  31.1
1 1 3  25.10  3.547  35.2
3 1 1  25.22  3.531  50.7
2 2 0  27.06  3.295  52.3
3 1 2  28.07  3.179  60.4
2 2 2  30.62  2.920  91.2
2 0 4  31.73  2.820  79.1
4 0 2  31.87  2.808  53.4
3 3 1  41.73  2.164  100.0
4 2 4  47.12  1.929  53.8

Crystal structure
Lattice parameters (Å, degrees): 12.538 7.738 12.632 90.00 90.00 90.00
Space group Cmcm (No. 63)
Asymmetric unit:
Rb1 0.221 0.000 0.000 [8 per cell]
Zn1 0.000 0.012 0.250 [4 per cell]
Zn2 0.000 0.341 0.609 [8 per cell]
Zn3 0.142 0.399 0.250 [8 per cell]
Sb1 0.000 0.282 0.101 [8 per cell]
Sb2 0.158 0.236 0.750 [8 per cell]

=====

(2)
Simulated XRD peak list of Cd2Pd8Rh for Cu Kα (weighted mean of Kα1 and Kα2), from a structure optimized by DFT (GGA-PBE).
Kinematic intensities with the Lorentz-polarization factor, no thermal factor.

Most intense lines, 5 to 70 degrees two-theta, by angle:
index  2θ (°)  d/Å  I_rel
0 4 1  38.64  2.330  24.7
3 1 0  39.36  2.289  12.6
1 3 1  40.02  2.253  100.0
2 0 -2  41.62  2.170  29.9
0 6 0  45.24  2.005  13.4
4 0 0  52.31  1.749  7.9
1 1 2  58.62  1.575  7.6
2 6 -2  63.14  1.472  9.7
3 7 0  67.74  1.383  8.1
6 0 -2  68.96  1.362  6.8

Crystal structure
Lattice parameters (Å, degrees): 8.228 12.027 4.340 90.00 121.76 90.00
Space group Cm (No. 8)
Asymmetric unit:
Cd1 0.000 0.147 0.000 [4 per cell]
Pd1 0.075 0.353 0.575 [4 per cell]
Pd2 0.283 0.302 0.283 [4 per cell]
Pd3 0.295 0.000 0.295 [2 per cell]
Pd4 0.297 0.150 0.797 [4 per cell]
Pd5 0.491 0.500 0.491 [2 per cell]
Rh1 0.087 0.500 0.087 [2 per cell]

=====

(3)
Simulated XRD peak list of ErTm2Ir2 for Cu Kα (weighted mean of Kα1 and Kα2), from a structure optimized by DFT (GGA-PBE).
Kinematic intensities with the Lorentz-polarization factor, no thermal factor.

Most intense lines, 5 to 70 degrees two-theta, by angle:
index  2θ (°)  d/Å  I_rel
0 0 1  14.90  5.947  11.2
1 0 0  21.76  4.084  18.0
0 1 1  26.48  3.367  17.3
0 1 2  37.41  2.404  100.0
1 1 0  38.17  2.358  90.9
1 1 1  41.18  2.192  5.5
2 0 2  54.51  1.683  34.2
1 0 4  66.98  1.397  18.5
1 2 2  68.49  1.370  34.6
3 0 0  68.99  1.361  16.2

Crystal structure
Lattice parameters (Å, degrees): 4.7157 4.7157 5.9473 90.00 90.00 120.00
Space group P-3m1 (No. 164)
Asymmetric unit:
Er1 0.0000 0.0000 0.0000 [1 per cell]
Tm1 0.3333 0.6667 0.6632 [2 per cell]
Ir1 0.3333 0.6667 0.1715 [2 per cell]

=====

(4)
Simulated XRD peak list of LiVW2 for Cu Kα (weighted mean of Kα1 and Kα2), from a structure optimized by DFT (GGA-PBE).
Kinematic intensities with the Lorentz-polarization factor, no thermal factor.

Most intense lines, 5 to 70 degrees two-theta, by angle:
index  2θ (°)  d/Å  I_rel
1 1 1  25.24  3.529  3.1
2 0 0  29.22  3.056  70.0
2 2 0  41.80  2.161  100.0
3 1 1  49.46  1.843  1.3
2 2 2  51.82  1.764  19.9
4 0 0  60.60  1.528  16.7
4 2 0  68.68  1.367  26.2

Crystal structure
Lattice parameters (Å, degrees): 6.112 6.112 6.112 90.00 90.00 90.00
Space group Fm-3m (No. 225)
Asymmetric unit:
Li1 0.000 0.000 0.000 [4 per cell]
V1 0.000 0.000 0.500 [4 per cell]
W1 0.250 0.250 0.250 [8 per cell]

=====

(5)
Simulated XRD peak list of Li2Nb2CuS6 for Cu Kα (weighted mean of Kα1 and Kα2), from a structure optimized by DFT (GGA-PBE).
Kinematic intensities with the Lorentz-polarization factor, no thermal factor.

Most intense lines, 5 to 70 degrees two-theta, by angle:
index  2θ (°)  d/Å  I_rel
0 0 1  14.41  6.148  100.0
1 3 0  29.20  3.058  24.2
2 0 -1  30.18  2.961  15.1
1 3 1  34.64  2.589  62.8
2 0 -2  36.14  2.486  30.0
1 3 -2  38.31  2.349  10.4
1 3 2  44.79  2.023  14.0
2 0 2  48.89  1.863  11.5
1 3 -3  49.75  1.833  20.4
3 3 -1  52.08  1.756  18.7

Crystal structure
Lattice parameters (Å, degrees): 6.037 10.803 6.407 90.00 106.32 90.00
Space group C2/m (No. 12)
Asymmetric unit:
Li1 0.000 0.178 0.000 [4 per cell]
Nb1 0.000 0.354 0.500 [4 per cell]
Cu1 0.000 0.000 0.500 [2 per cell]
S1 0.234 0.174 0.725 [8 per cell]
S2 0.246 0.500 0.751 [4 per cell]

=====

(6)
Simulated XRD peak list of LaTbCu3 for Cu Kα (weighted mean of Kα1 and Kα2), from a structure optimized by DFT (GGA-PBE).
Kinematic intensities with the Lorentz-polarization factor, no thermal factor.

Most intense lines, 5 to 70 degrees two-theta, by angle:
index  2θ (°)  d/Å  I_rel
0 4 1  24.66  3.610  24.5
1 3 1  32.90  2.722  100.0
1 7 0  33.95  2.640  56.0
1 5 1  35.84  2.506  12.0
0 10 1  40.82  2.210  38.6
0 0 2  41.33  2.184  30.3
2 0 0  47.72  1.906  19.8
1 7 2  54.51  1.684  34.4
2 10 1  64.56  1.443  18.8
2 0 2  64.93  1.436  15.2

Crystal structure
Lattice parameters (Å, degrees): 3.812 25.627 4.369 90.00 90.00 90.00
Space group Cmcm (No. 63)
Asymmetric unit:
La1 0.000 0.073 0.250 [4 per cell]
Tb1 0.000 0.205 0.750 [4 per cell]
Cu1 0.000 0.325 0.750 [4 per cell]
Cu2 0.000 0.379 0.250 [4 per cell]
Cu3 0.000 0.476 0.250 [4 per cell]

=====

(7)
Simulated XRD peak list of Pm2TlRuO5 for Cu Kα (weighted mean of Kα1 and Kα2), from a structure optimized by DFT (GGA-PBE).
Kinematic intensities with the Lorentz-polarization factor, no thermal factor.

Most intense lines, 5 to 70 degrees two-theta, by angle:
index  2θ (°)  d/Å  I_rel
1 1 1  23.81  3.736  14.6
2 0 1  30.18  2.961  100.0
0 0 2  30.56  2.925  33.0
2 1 1  32.94  2.719  31.1
2 2 0  37.03  2.428  24.8
3 1 0  41.59  2.172  14.3
2 1 2  42.69  2.118  23.0
2 2 2  48.74  1.868  22.5
2 0 3  54.08  1.696  19.8
4 0 1  55.82  1.647  17.9

Crystal structure
Lattice parameters (Å, degrees): 6.867 6.867 5.850 90.00 90.00 90.00
Space group P4/mbm (No. 127)
Asymmetric unit:
Pm1 0.178 0.322 0.000 [4 per cell]
Tl1 0.000 0.000 0.500 [2 per cell]
Ru1 0.000 0.500 0.500 [2 per cell]
O1 0.000 0.000 0.000 [2 per cell]
O2 0.131 0.631 0.245 [8 per cell]

=====

(8)
Simulated XRD peak list of CePt5Pb for Cu Kα (weighted mean of Kα1 and Kα2), from a structure optimized by DFT (GGA-PBE).
Kinematic intensities with the Lorentz-polarization factor, no thermal factor.

Most intense lines, 5 to 70 degrees two-theta, by angle:
index  2θ (°)  d/Å  I_rel
3 1 1  35.09  2.557  92.3
2 1 3  35.43  2.534  100.0
0 2 2  36.80  2.442  43.2
3 1 2  37.86  2.376  44.5
2 2 1  39.57  2.277  96.8
4 0 1  40.90  2.207  68.9
2 1 4  41.60  2.171  61.8
1 0 5  41.78  2.162  80.6
2 2 2  42.10  2.146  61.3
1 2 3  42.43  2.130  74.4

Crystal structure
Lattice parameters (Å, degrees): 9.005 5.435 11.137 90.00 90.00 90.00
Space group Pnma (No. 62)
Asymmetric unit:
Ce1 0.250 0.250 0.063 [4 per cell]
Pt1 0.041 0.250 0.585 [4 per cell]
Pt2 0.056 0.750 0.007 [4 per cell]
Pt3 0.076 0.502 0.798 [8 per cell]
Pt4 0.185 0.750 0.225 [4 per cell]
Pb1 0.144 0.250 0.358 [4 per cell]